Starting from a GGA-PBE-relaxed structure, the powder diffraction line list of PuHBrO2 was calculated for λ = 1.5418 Å (Cu Kα).

Structural model:
Lattice parameters (Å, degrees): 6.9582 4.0841 7.0044 90.00 97.13 90.00
Atoms (fractional coordinates):
Pu 0.1828 0.2500 0.4196
Pu 0.8172 0.7500 0.5804
H 0.0728 0.2500 0.9887
H 0.9272 0.7500 0.0113
Br 0.4219 0.7500 0.7053
Br 0.5781 0.2500 0.2947
O 0.0539 0.7500 0.4047
O 0.1051 0.2500 0.1282
O 0.8949 0.7500 0.8718
O 0.9461 0.2500 0.5953

Peak list (6 most intense, 15 to 90 degrees two-theta, in order of falling intensity)
2theta, Rel. int.
25.31, 100
27.38, 47
34.00, 42
29.18, 34
30.19, 34
33.87, 30